No. 1
For Rb2Mg2Te3, a structure optimized by DFT (PBE) gives the theoretical X-ray diffraction stick pattern in this record (CuKα).
Kinematic intensities with the Lorentz-polarization factor, no thermal factor.

Structural model:
a b c (Å): 15.6258 4.6659 9.1523
angles (deg): 90.00 123.78 90.00
Fractional positions:
Rb 0.0640 0.0000 0.3420
Rb 0.4360 0.5000 0.6580
Rb 0.5640 0.5000 0.3420
Rb 0.9360 0.0000 0.6580
Mg 0.1942 0.5000 0.0675
Mg 0.3058 0.0000 0.9325
Mg 0.6942 0.0000 0.0675
Mg 0.8058 0.5000 0.9325
Te 0.0000 0.5000 0.0000
Te 0.1873 0.5000 0.7479
Te 0.3127 0.0000 0.2521
Te 0.5000 0.0000 0.0000
Te 0.6873 0.0000 0.7479
Te 0.8127 0.5000 0.2521

Peak list (10 most intense, 10 to 90 degrees two-theta, most intense first)
2theta, I (rel.)
25.25, 100
28.35, 69
23.04, 67
39.72, 28
29.86, 27
38.59, 24
45.88, 23
45.43, 22
28.12, 14
28.00, 14



No. 2
For PrCu12, a structure optimized by DFT (PBE) gives the theoretical X-ray diffraction stick pattern in this record (CuKα).
Kinematic intensities with the Lorentz-polarization factor, no thermal factor.

Structural model:
a b c (Å): 6.5193 6.5193 6.5193
angles (deg): 98.03 98.03 136.09
Fractional positions:
Pr 0.0000 0.0000 0.0000
Cu 0.0000 0.0000 0.5000
Cu 0.0000 0.3564 0.3564
Cu 0.0000 0.5000 0.0000
Cu 0.0000 0.6436 0.6436
Cu 0.2707 0.5000 0.7707
Cu 0.3564 0.0000 0.3564
Cu 0.5000 0.0000 0.0000
Cu 0.5000 0.2707 0.7707
Cu 0.5000 0.5000 0.5000
Cu 0.5000 0.7293 0.2293
Cu 0.6436 0.0000 0.6436
Cu 0.7293 0.5000 0.2293

Peak list (10 most intense, 10 to 90 degrees two-theta, most intense first)
2theta, I (rel.)
42.38, 100
42.70, 77
42.28, 68
36.52, 44
47.94, 41
47.60, 34
29.69, 29
77.38, 22
70.22, 21
77.60, 20



No. 3
For Th4CuHg, a structure optimized by DFT (PBE) gives the theoretical X-ray diffraction stick pattern in this record (CuKα).
Kinematic intensities with the Lorentz-polarization factor, no thermal factor.

Structural model:
a b c (Å): 7.5659 7.5659 5.8162
angles (deg): 90.00 90.00 90.00
Fractional positions:
Th 0.1472 0.3327 0.0000
Th 0.1472 0.6673 0.5000
Th 0.3327 0.1472 0.5000
Th 0.3327 0.8528 0.0000
Th 0.6673 0.1472 0.0000
Th 0.6673 0.8528 0.5000
Th 0.8528 0.3327 0.5000
Th 0.8528 0.6673 0.0000
Cu 0.0000 0.0000 0.2500
Cu 0.0000 0.0000 0.7500
Hg 0.5000 0.5000 0.2500
Hg 0.5000 0.5000 0.7500

Peak list (10 most intense, 10 to 90 degrees two-theta, most intense first)
2theta, I (rel.)
30.57, 100
37.59, 35
35.12, 22
39.07, 22
54.55, 20
60.94, 19
58.18, 14
52.28, 13
68.73, 13
30.75, 10



No. 4
For NbHgTe2, a structure optimized by DFT (PBE) gives the theoretical X-ray diffraction stick pattern in this record (CuKα).
Kinematic intensities with the Lorentz-polarization factor, no thermal factor.

Structural model:
a b c (Å): 3.6923 6.3931 9.7825
angles (deg): 90.00 90.25 90.00
Fractional positions:
Nb 0.0000 0.0000 0.0000
Nb 0.5000 0.5000 0.0000
Hg 0.0000 0.3317 0.5000
Hg 0.5000 0.8317 0.5000
Te 0.0021 0.6668 0.1882
Te 0.4979 0.1668 0.8118
Te 0.5021 0.1668 0.1882
Te 0.9979 0.6668 0.8118

Peak list (10 most intense, 10 to 90 degrees two-theta, most intense first)
2theta, I (rel.)
29.39, 100
33.46, 61
49.37, 40
39.44, 34
33.54, 32
27.35, 25
55.08, 19
39.55, 16
58.50, 15
80.00, 12



What did the second record say?
For PrCu12, a structure optimized by DFT (PBE) gives the theoretical X-ray diffraction stick pattern in this record (CuKα).
Kinematic intensities with the Lorentz-polarization factor, no thermal factor.

Structural model:
a b c (Å): 6.5193 6.5193 6.5193
angles (deg): 98.03 98.03 136.09
Fractional positions:
Pr 0.0000 0.0000 0.0000
Cu 0.0000 0.0000 0.5000
Cu 0.0000 0.3564 0.3564
Cu 0.0000 0.5000 0.0000
Cu 0.0000 0.6436 0.6436
Cu 0.2707 0.5000 0.7707
Cu 0.3564 0.0000 0.3564
Cu 0.5000 0.0000 0.0000
Cu 0.5000 0.2707 0.7707
Cu 0.5000 0.5000 0.5000
Cu 0.5000 0.7293 0.2293
Cu 0.6436 0.0000 0.6436
Cu 0.7293 0.5000 0.2293

Peak list (10 most intense, 10 to 90 degrees two-theta, most intense first)
2theta, I (rel.)
42.38, 100
42.70, 77
42.28, 68
36.52, 44
47.94, 41
47.60, 34
29.69, 29
77.38, 22
70.22, 21
77.60, 20